No. 1
Rb2GeF7: computed X-ray powder pattern (a wavelength of 1.5418 Å), based on a crystal structure in Alexandria, relaxed with PBE.
Peak positions follow from Bragg's law for the DFT cell and can differ from measured ones.

Principal peaks in the range 10° ≤ 2θ ≤ 90°, sorted by position:
| 2θ (°) | I/Imax |
| --- | --- |
| 16.69 | 13 |
| 22.82 | 100 |
| 25.27 | 38 |
| 28.97 | 37 |
| 29.31 | 21 |
| 35.24 | 30 |
| 38.99 | 25 |
| 39.08 | 37 |
| 48.25 | 15 |
| 52.99 | 12 |

Atomic structure:
Cell lengths 7.6806, 7.6806, 10.7473 Å; angles 126.62, 126.62, 46.75 degrees
Positions (direct):
Rb 0.1266 0.1980 0.0612
Rb 0.1980 0.1266 0.5612
Rb 0.8020 0.8734 0.4388
Rb 0.8734 0.8020 0.9388
Ge 0.4902 0.5098 0.7500
Ge 0.5098 0.4902 0.2500
F 0.1637 0.8363 0.7500
F 0.2050 0.6590 0.2826
F 0.2570 0.5517 0.8078
F 0.3388 0.3810 0.5375
F 0.3410 0.7950 0.2174
F 0.3810 0.3388 0.0375
F 0.4483 0.7430 0.6922
F 0.5517 0.2570 0.3078
F 0.6190 0.6612 0.9625
F 0.6590 0.2050 0.7826
F 0.6612 0.6190 0.4625
F 0.7430 0.4483 0.1922
F 0.7950 0.3410 0.7174
F 0.8363 0.1637 0.2500

No. 2
Rb2ScGeF6: computed X-ray powder pattern (a wavelength of 1.5418 Å), based on a crystal structure in Alexandria, relaxed with PBE.
Peak positions follow from Bragg's law for the DFT cell and can differ from measured ones.

Principal peaks in the range 10° ≤ 2θ ≤ 90°, sorted by position:
| 2θ (°) | I/Imax |
| --- | --- |
| 26.49 | 60 |
| 28.09 | 100 |
| 33.93 | 24 |
| 37.82 | 52 |
| 42.36 | 20 |
| 47.76 | 41 |
| 50.66 | 20 |
| 54.55 | 15 |
| 58.07 | 27 |
| 61.64 | 13 |

Atomic structure:
Cell lengths 6.3913, 6.3913, 6.3913 Å; angles 116.47, 116.47, 96.23 degrees
Positions (direct):
Rb 0.2500 0.7500 0.5000
Rb 0.7500 0.2500 0.5000
Sc 0.0000 0.0000 0.0000
Ge 0.5000 0.5000 0.0000
F 0.2129 0.2129 0.4257
F 0.2129 0.7871 0.0000
F 0.2419 0.2419 0.0000
F 0.7581 0.7581 0.0000
F 0.7871 0.2129 0.0000
F 0.7871 0.7871 0.5743

No. 3
Rb2GeSeF6: computed X-ray powder pattern (a wavelength of 1.5418 Å), based on a crystal structure in Alexandria, relaxed with PBE.
Peak positions follow from Bragg's law for the DFT cell and can differ from measured ones.

Principal peaks in the range 10° ≤ 2θ ≤ 90°, sorted by position:
| 2θ (°) | I/Imax |
| --- | --- |
| 25.10 | 74 |
| 28.26 | 100 |
| 35.79 | 46 |
| 46.21 | 38 |
| 51.85 | 19 |
| 58.13 | 19 |
| 58.44 | 20 |
| 59.79 | 16 |
| 71.67 | 15 |
| 76.10 | 16 |

Atomic structure:
Cell lengths 6.4576, 6.4576, 6.4576 Å; angles 113.34, 113.34, 101.99 degrees
Positions (direct):
Rb 0.2500 0.7500 0.5000
Rb 0.7500 0.2500 0.5000
Ge 0.0000 0.0000 0.0000
Se 0.5000 0.5000 0.0000
F 0.1806 0.1806 0.3612
F 0.1806 0.8194 0.0000
F 0.2327 0.2327 0.0000
F 0.7673 0.7673 0.0000
F 0.8194 0.1806 0.0000
F 0.8194 0.8194 0.6388